Simulated powder diffraction line list of UGeI6 for λ = 1.5418 Å (Cu Kα), from a crystal structure in the Materials Project, relaxed with GGA-PBE.

Main lines, low angle first (10° ≤ 2θ ≤ 90°):
- d = 6.507 Å, I 21.0, hkl 1 0 0
- d = 4.726 Å, I 36.4, hkl 1 0 2
- d = 3.297 Å, I 100.0, hkl 1 1 2
- d = 2.536 Å, I 51.0, hkl 2 -1 4
- d = 2.169 Å, I 39.1, hkl 3 0 0
- d = 1.957 Å, I 22.3, hkl 2 -1 6
- d = 1.812 Å, I 17.6, hkl 4 -2 2
- d = 1.347 Å, I 17.8, hkl 3 0 8

Structure:
a b c (Å): 7.513 7.513 13.755
angles (deg): 90.00 90.00 120.00
Sites, in units of the cell vectors:
1 U 0.000 0.000 0.000
2 U 0.000 0.000 0.500
3 Ge 0.333 0.667 0.250
4 Ge 0.667 0.333 0.750
5 I 0.003 0.331 0.874
6 I 0.003 0.672 0.626
7 I 0.328 0.331 0.626
8 I 0.328 0.997 0.874
9 I 0.331 0.003 0.374
10 I 0.331 0.328 0.126
11 I 0.669 0.672 0.874
12 I 0.669 0.997 0.626
13 I 0.672 0.003 0.126
14 I 0.672 0.669 0.374
15 I 0.997 0.328 0.374
16 I 0.997 0.669 0.126